(1)
Starting from a structure optimized by DFT (PBE), the powder diffractogram of K2Na2Eu4Nb2O13 was calculated for Cu Kα.

Principal peaks in the range 2θ from 5° to 70°, by angle:
8.1 deg, I 100; 25.0 deg, I 40; 25.3 deg, I 36; 29.8 deg, I 94; 30.3 deg, I 87; 31.1 deg, I 28; 31.4 deg, I 33; 41.1 deg, I 16; 44.8 deg, I 41; 54.7 deg, I 17

Crystal structure
```
K2Na2Eu4Nb2O13
1.0
12.2642 -2.8727 0.0000
12.2642 2.8727 0.0000
-5.0759 0.0000 10.1910
K Na Eu Nb O
4 4 8 4 26
direct
0.1971 0.3017 0.1333 K
0.3017 0.1971 0.6333 K
0.6983 0.8029 0.3667 K
0.8029 0.6983 0.8667 K
0.3034 0.3800 0.4773 Na
0.3800 0.3034 0.9773 Na
0.6200 0.6966 0.0227 Na
0.6966 0.6200 0.5227 Na
0.0209 0.1047 0.9483 Eu
0.1047 0.0209 0.4483 Eu
0.4040 0.4709 0.3256 Eu
0.4709 0.4040 0.8256 Eu
0.5291 0.5960 0.1744 Eu
0.5960 0.5291 0.6744 Eu
0.8953 0.9791 0.5517 Eu
0.9791 0.8953 0.0517 Eu
0.1164 0.1846 0.2815 Nb
0.1846 0.1164 0.7815 Nb
0.8154 0.8836 0.2185 Nb
0.8836 0.8154 0.7185 Nb
0.0594 0.6812 0.3633 O
0.0927 0.6398 0.1236 O
0.1299 0.6684 0.6594 O
0.1460 0.5913 0.8590 O
0.1717 0.2986 0.3759 O
0.2507 0.7474 0.5212 O
0.2526 0.7493 0.9788 O
0.2588 0.7412 0.2500 O
0.2986 0.1717 0.8759 O
0.3188 0.9406 0.1367 O
0.3316 0.8701 0.8406 O
0.3602 0.9073 0.3764 O
0.4087 0.8540 0.6410 O
0.5913 0.1460 0.3590 O
0.6398 0.0927 0.6236 O
0.6684 0.1299 0.1594 O
0.6812 0.0594 0.8633 O
0.7014 0.8283 0.1241 O
0.7412 0.2588 0.7500 O
0.7474 0.2507 0.0212 O
0.7493 0.2526 0.4788 O
0.8283 0.7014 0.6241 O
0.8540 0.4087 0.1410 O
0.8701 0.3316 0.3406 O
0.9073 0.3602 0.8764 O
0.9406 0.3188 0.6367 O
```

(2)
Starting from a structure optimized by DFT (PBE), the powder diffractogram of CsPr2Ag3Te5 was calculated for Cu Kα.

Principal peaks in the range 2θ from 5° to 70°, by angle:
24.7 deg, I 41; 25.2 deg, I 81; 25.8 deg, I 41; 26.5 deg, I 72; 28.1 deg, I 58; 31.1 deg, I 71; 33.0 deg, I 48; 34.4 deg, I 65; 37.8 deg, I 100; 41.6 deg, I 71

Crystal structure
```
CsPr2Ag3Te5
1.0
2.3805 -8.2477 0.0000
2.3805 8.2477 0.0000
0.0000 0.0000 19.0532
Cs Pr Ag Te
2 4 6 10
direct
0.0601 0.9399 0.7500 Cs
0.9399 0.0601 0.2500 Cs
0.1911 0.8089 0.0931 Pr
0.1911 0.8089 0.4069 Pr
0.8089 0.1911 0.5931 Pr
0.8089 0.1911 0.9069 Pr
0.3415 0.6585 0.7500 Ag
0.4150 0.5850 0.0306 Ag
0.4150 0.5850 0.4694 Ag
0.5850 0.4150 0.5306 Ag
0.5850 0.4150 0.9694 Ag
0.6585 0.3415 0.2500 Ag
0.1755 0.8245 0.5729 Te
0.1755 0.8245 0.9271 Te
0.2536 0.7464 0.2500 Te
0.4386 0.5614 0.6192 Te
0.4386 0.5614 0.8808 Te
0.5614 0.4386 0.1192 Te
0.5614 0.4386 0.3808 Te
0.7464 0.2536 0.7500 Te
0.8245 0.1755 0.0729 Te
0.8245 0.1755 0.4271 Te
```

(3)
Starting from a structure optimized by DFT (PBE), the powder diffractogram of Ba10Cu5Hg5O21 was calculated for Cu Kα.

Principal peaks in the range 2θ from 5° to 70°, by angle:
24.7 deg, I 58; 29.4 deg, I 97; 29.5 deg, I 97; 32.7 deg, I 100; 36.9 deg, I 25; 43.2 deg, I 35; 46.8 deg, I 45; 50.1 deg, I 30; 52.6 deg, I 30; 56.3 deg, I 55

Crystal structure
```
Ba10Cu5Hg5O21
1.0
8.6675 0.0000 0.0000
-0.0086 8.6774 0.0000
-3.4625 -1.7342 9.7390
Ba Cu Hg O
10 5 5 21
direct
0.0190 0.2586 0.2956 Ba
0.1839 0.3411 0.7043 Ba
0.2184 0.8608 0.2969 Ba
0.3883 0.9447 0.7220 Ba
0.4194 0.4588 0.2957 Ba
0.5806 0.5412 0.7043 Ba
0.6117 0.0553 0.2780 Ba
0.7816 0.1392 0.7031 Ba
0.8161 0.6589 0.2957 Ba
0.9810 0.7414 0.7044 Ba
0.0000 0.0000 0.5000 Cu
0.2016 0.6033 0.5017 Cu
0.4021 0.1955 0.5002 Cu
0.5979 0.8045 0.4998 Cu
0.7984 0.3967 0.4983 Cu
0.0000 0.5000 0.0000 Hg
0.2108 0.0965 0.0000 Hg
0.4032 0.7111 0.0000 Hg
0.5968 0.2889 0.0000 Hg
0.7892 0.9035 0.0000 Hg
0.0000 0.5000 0.5000 O
0.0824 0.5416 0.2060 O
0.0977 0.7978 0.4992 O
0.1112 0.0604 0.7905 O
0.1955 0.1034 0.4992 O
0.2790 0.1436 0.2095 O
0.2991 0.4010 0.4996 O
0.3139 0.6535 0.7905 O
0.4027 0.6961 0.4991 O
0.4813 0.7374 0.2096 O
0.5000 0.0000 0.0000 O
0.5000 0.0000 0.5000 O
0.5187 0.2626 0.7904 O
0.5973 0.3039 0.5009 O
0.6861 0.3465 0.2095 O
0.7009 0.5990 0.5004 O
0.7210 0.8564 0.7905 O
0.8045 0.8966 0.5008 O
0.8888 0.9396 0.2095 O
0.9023 0.2022 0.5008 O
0.9176 0.4584 0.7940 O
```

(4)
Starting from a structure optimized by DFT (PBE), the powder diffractogram of Ba10Pr5NbSn4O30 was calculated for Cu Kα.

Principal peaks in the range 2θ from 5° to 70°, by angle:
28.6 deg, I 99; 28.8 deg, I 100; 41.0 deg, I 58; 50.7 deg, I 22; 50.8 deg, I 42; 51.0 deg, I 21; 59.3 deg, I 18; 59.6 deg, I 18; 67.2 deg, I 15; 67.4 deg, I 13

Crystal structure
```
Ba10Pr5NbSn4O30
1.0
8.7998 0.0000 0.0000
4.3453 9.8191 0.0000
4.3809 -0.0242 9.8524
Ba Pr Nb Sn O
10 5 1 4 30
direct
0.0477 0.3023 0.1007 Ba
0.1478 0.8989 0.3013 Ba
0.2502 0.5006 0.5002 Ba
0.3493 0.0998 0.6980 Ba
0.4496 0.6989 0.8994 Ba
0.5504 0.3011 0.1006 Ba
0.6507 0.9002 0.3020 Ba
0.7498 0.4994 0.4998 Ba
0.8522 0.1011 0.6987 Ba
0.9523 0.6977 0.8993 Ba
0.0000 0.0000 0.0000 Pr
0.2001 0.2002 0.3996 Pr
0.4008 0.3996 0.7991 Pr
0.5992 0.6004 0.2009 Pr
0.7999 0.7998 0.6004 Pr
0.5000 0.0000 0.0000 Nb
0.1000 0.6002 0.2004 Sn
0.3001 0.7999 0.6001 Sn
0.6999 0.2001 0.3999 Sn
0.9000 0.3998 0.7996 Sn
0.0154 0.3218 0.6033 O
0.0181 0.7976 0.1232 O
0.0556 0.7915 0.6264 O
0.1436 0.4089 0.7750 O
0.1821 0.4026 0.2752 O
0.1850 0.8776 0.7971 O
0.2151 0.5223 0.0031 O
0.2187 0.9973 0.5232 O
0.2648 0.9904 0.0253 O
0.3439 0.6099 0.1734 O
0.3808 0.6028 0.6772 O
0.3902 0.0743 0.1901 O
0.4145 0.7239 0.4028 O
0.4204 0.1908 0.9270 O
0.4569 0.1900 0.4252 O
0.5431 0.8101 0.5748 O
0.5796 0.8092 0.0730 O
0.5855 0.2761 0.5972 O
0.6098 0.9257 0.8099 O
0.6192 0.3972 0.3228 O
0.6561 0.3901 0.8266 O
0.7352 0.0096 0.9747 O
0.7813 0.0027 0.4768 O
0.7849 0.4777 0.9969 O
0.8150 0.1224 0.2029 O
0.8179 0.5974 0.7248 O
0.8564 0.5911 0.2250 O
0.9444 0.2085 0.3736 O
0.9819 0.2024 0.8768 O
0.9846 0.6782 0.3967 O
```

(5)
Starting from a structure optimized by DFT (PBE), the powder diffractogram of ZrGa5Co was calculated for Cu Kα.

Principal peaks in the range 2θ from 5° to 70°, by angle:
21.5 deg, I 9; 33.5 deg, I 36; 34.5 deg, I 5; 40.4 deg, I 16; 41.0 deg, I 100; 43.8 deg, I 55; 51.5 deg, I 6; 61.1 deg, I 19; 63.7 deg, I 17; 64.1 deg, I 4

Crystal structure
```
ZrGa5Co
1.0
4.1317 0.0000 0.0000
0.0000 4.1317 0.0000
0.0000 0.0000 6.7007
Zr Ga Co
1 5 1
direct
0.0000 0.0000 0.0000 Zr
0.0000 0.5000 0.3058 Ga
0.0000 0.5000 0.6942 Ga
0.5000 0.0000 0.3058 Ga
0.5000 0.0000 0.6942 Ga
0.5000 0.5000 0.0000 Ga
0.0000 0.0000 0.5000 Co
```